(1)
For Tl2SnPb9, a crystal structure in Alexandria, relaxed with PBE gives the computed powder X-ray diffraction pattern in this record (Cu Kα (λ = 1.5418 Å)).
Kinematic intensities with the Lorentz-polarization factor, no thermal factor.

Atomic structure:
```
Tl2SnPb9
1.0
6.0497 0.0000 0.0000
0.0000 6.0497 0.0000
0.0000 0.0000 10.3048
Tl Sn Pb
2 1 9
Direct
0.0000 0.0000 0.1697 Tl
0.0000 0.0000 0.8303 Tl
0.0000 0.0000 0.5000 Sn
0.0000 0.5000 0.0000 Pb
0.0000 0.5000 0.3380 Pb
0.0000 0.5000 0.6620 Pb
0.5000 0.0000 0.0000 Pb
0.5000 0.0000 0.3380 Pb
0.5000 0.0000 0.6620 Pb
0.5000 0.5000 0.1691 Pb
0.5000 0.5000 0.5000 Pb
0.5000 0.5000 0.8309 Pb
```

Main lines, most intense first (2θ = 5–70°):
| 2θ/deg | d (Å) | intensity |
| --- | --- | --- |
| 33.5 | 2.678 | 100 |
| 29.5 | 3.025 | 69 |
| 54.9 | 1.671 | 50 |
| 42.3 | 2.139 | 27 |
| 62.2 | 1.494 | 17 |
| 69.5 | 1.353 | 13 |
| 61.3 | 1.512 | 9 |
| 53.3 | 1.717 | 7 |
| 27.1 | 3.291 | 1 |
| 17.0 | 5.217 | 1 |



(2)
For Tl3SnPb, a crystal structure in Alexandria, relaxed with PBE gives the computed powder X-ray diffraction pattern in this record (Cu Kα (λ = 1.5418 Å)).
Kinematic intensities with the Lorentz-polarization factor, no thermal factor.

Atomic structure:
```
Tl3SnPb
1.0
5.0887 2.9380 2.0796
-5.0887 2.9380 2.0796
0.0000 -5.8759 2.0796
Tl Sn Pb
3 1 1
Direct
0.0118 0.4941 0.4941 Tl
0.4941 0.0118 0.4941 Tl
0.4941 0.4941 0.0118 Tl
0.5721 0.5721 0.5721 Sn
0.0594 0.0594 0.0594 Pb
```

Main lines, most intense first (2θ = 5–70°):
| 2θ/deg | d (Å) | intensity |
| --- | --- | --- |
| 35.3 | 2.545 | 100 |
| 24.7 | 3.600 | 72 |
| 63.3 | 1.469 | 32 |
| 57.2 | 1.610 | 28 |
| 43.5 | 2.078 | 21 |
| 50.7 | 1.800 | 17 |
| 17.4 | 5.091 | 12 |
| 39.6 | 2.277 | 10 |
| 30.4 | 2.939 | 9 |
| 47.2 | 1.924 | 7 |



(3)
For Tl16Sn12Pb, a crystal structure in Alexandria, relaxed with PBE gives the computed powder X-ray diffraction pattern in this record (Cu Kα (λ = 1.5418 Å)).
Kinematic intensities with the Lorentz-polarization factor, no thermal factor.

Atomic structure:
```
Tl16Sn12Pb
1.0
6.0556 -8.5293 0.0000
6.0556 8.5293 0.0000
-6.0326 0.0000 8.5523
Tl Sn Pb
16 12 1
Direct
0.0000 0.0000 0.0000 Tl
0.9998 0.9998 0.3550 Tl
0.0009 0.3170 0.6011 Tl
0.0017 0.3569 0.0007 Tl
0.2875 0.6843 0.6836 Tl
0.3165 0.6013 0.9992 Tl
0.3170 0.0009 0.6011 Tl
0.3569 0.0017 0.0007 Tl
0.3974 0.7153 0.3969 Tl
0.3991 0.3991 0.7138 Tl
0.6013 0.3165 0.9992 Tl
0.6022 0.9991 0.3158 Tl
0.6478 0.6478 0.6467 Tl
0.6843 0.2875 0.6836 Tl
0.7153 0.3974 0.3969 Tl
0.9991 0.6022 0.3158 Tl
0.0012 0.6365 0.8127 Sn
0.0012 0.8147 0.6328 Sn
0.1803 0.3656 0.3624 Sn
0.1840 0.8221 0.1843 Sn
0.1860 0.1860 0.8197 Sn
0.3656 0.1803 0.3624 Sn
0.3674 0.3674 0.1775 Sn
0.6352 0.8137 0.0018 Sn
0.6365 0.0012 0.8127 Sn
0.8137 0.6352 0.0018 Sn
0.8147 0.0012 0.6328 Sn
0.8221 0.1840 0.1843 Sn
0.6866 0.6866 0.2933 Pb
```

Main lines, most intense first (2θ = 5–70°):
| 2θ/deg | d (Å) | intensity |
| --- | --- | --- |
| 31.4 | 2.852 | 100 |
| 31.4 | 2.846 | 58 |
| 55.9 | 1.645 | 23 |
| 34.8 | 2.579 | 17 |
| 56.0 | 1.643 | 15 |
| 55.8 | 1.648 | 13 |
| 37.9 | 2.373 | 9 |
| 34.8 | 2.574 | 9 |
| 29.6 | 3.022 | 8 |
| 36.4 | 2.470 | 8 |



(4)
For Tl4Sn2Pb, a crystal structure in Alexandria, relaxed with PBE gives the computed powder X-ray diffraction pattern in this record (Cu Kα (λ = 1.5418 Å)).
Kinematic intensities with the Lorentz-polarization factor, no thermal factor.

Atomic structure:
```
Tl4Sn2Pb
1.0
2.7690 -11.1593 0.0000
2.7690 11.1593 0.0000
0.0000 0.0000 3.4349
Tl Sn Pb
4 2 1
Direct
0.1470 0.8530 0.0000 Tl
0.2942 0.7058 0.5000 Tl
0.7058 0.2942 0.5000 Tl
0.8530 0.1470 0.0000 Tl
0.4327 0.5673 0.0000 Sn
0.5673 0.4327 0.0000 Sn
0.0000 0.0000 0.5000 Pb
```

Main lines, most intense first (2θ = 5–70°):
| 2θ/deg | d (Å) | intensity |
| --- | --- | --- |
| 32.4 | 2.765 | 100 |
| 33.0 | 2.717 | 76 |
| 63.8 | 1.459 | 30 |
| 30.6 | 2.925 | 29 |
| 45.1 | 2.011 | 21 |
| 59.6 | 1.551 | 19 |
| 48.7 | 1.871 | 17 |
| 58.1 | 1.589 | 16 |
| 57.7 | 1.598 | 13 |
| 53.3 | 1.717 | 9 |



(5)
For Tl3Sn4Pb2, a crystal structure in Alexandria, relaxed with PBE gives the computed powder X-ray diffraction pattern in this record (Cu Kα (λ = 1.5418 Å)).
Kinematic intensities with the Lorentz-polarization factor, no thermal factor.

Atomic structure:
```
Tl3Sn4Pb2
1.0
5.9287 0.0000 0.0000
2.9199 5.2080 0.0000
0.2199 3.2734 8.6414
Tl Sn Pb
3 4 2
Direct
0.0000 0.0000 0.0000 Tl
0.4486 0.7705 0.3274 Tl
0.5514 0.2295 0.6726 Tl
0.1021 0.4396 0.3281 Sn
0.3243 0.3470 0.0053 Sn
0.6757 0.6530 0.9947 Sn
0.8979 0.5604 0.6719 Sn
0.2234 0.8984 0.6658 Pb
0.7766 0.1016 0.3342 Pb
```

Main lines, most intense first (2θ = 5–70°):
| 2θ/deg | d (Å) | intensity |
| --- | --- | --- |
| 31.7 | 2.827 | 100 |
| 31.0 | 2.880 | 53 |
| 31.9 | 2.809 | 50 |
| 35.8 | 2.508 | 36 |
| 36.7 | 2.450 | 33 |
| 37.3 | 2.412 | 33 |
| 61.7 | 1.502 | 15 |
| 64.0 | 1.454 | 14 |
| 51.6 | 1.770 | 13 |
| 52.1 | 1.755 | 13 |



(6)
For Tl2SnPb3, a crystal structure in Alexandria, relaxed with PBE gives the computed powder X-ray diffraction pattern in this record (Cu Kα (λ = 1.5418 Å)).
Kinematic intensities with the Lorentz-polarization factor, no thermal factor.

Atomic structure:
```
Tl2SnPb3
1.0
5.1273 -5.4727 0.0000
5.1273 5.4727 0.0000
0.0000 0.0000 6.7296
Tl Sn Pb
4 2 6
Direct
0.0650 0.5985 0.5000 Tl
0.4015 0.9350 0.5000 Tl
0.5985 0.0650 0.0000 Tl
0.9350 0.4015 0.0000 Tl
0.2781 0.7219 0.9981 Sn
0.7219 0.2781 0.4981 Sn
0.0009 0.9991 0.2479 Pb
0.3352 0.3357 0.2495 Pb
0.3357 0.3352 0.7495 Pb
0.6643 0.6648 0.2495 Pb
0.6648 0.6643 0.7495 Pb
0.9991 0.0009 0.7479 Pb
```

Main lines, most intense first (2θ = 5–70°):
| 2θ/deg | d (Å) | intensity |
| --- | --- | --- |
| 31.2 | 2.866 | 100 |
| 38.5 | 2.341 | 64 |
| 30.4 | 2.936 | 45 |
| 32.7 | 2.736 | 41 |
| 36.0 | 2.494 | 35 |
| 27.3 | 3.263 | 34 |
| 63.4 | 1.468 | 27 |
| 57.0 | 1.617 | 25 |
| 57.5 | 1.604 | 15 |
| 49.3 | 1.848 | 12 |



(7)
For Tl2Sn4Pb5, a crystal structure in Alexandria, relaxed with PBE gives the computed powder X-ray diffraction pattern in this record (Cu Kα (λ = 1.5418 Å)).
Kinematic intensities with the Lorentz-polarization factor, no thermal factor.

Atomic structure:
```
Tl2Sn4Pb5
1.0
6.6213 -3.3064 0.0000
6.6213 3.3064 0.0000
-5.4470 0.0000 8.0182
Tl Sn Pb
2 4 5
Direct
0.2162 0.2162 0.2723 Tl
0.7838 0.7838 0.7277 Tl
0.2355 0.2355 0.6382 Sn
0.2433 0.2433 0.9669 Sn
0.7567 0.7567 0.0331 Sn
0.7645 0.7645 0.3618 Sn
0.2504 0.7455 0.6783 Pb
0.2545 0.7496 0.3217 Pb
0.5000 0.5000 0.0000 Pb
0.7455 0.2504 0.6783 Pb
0.7496 0.2545 0.3217 Pb
```

Main lines, most intense first (2θ = 5–70°):
| 2θ/deg | d (Å) | intensity |
| --- | --- | --- |
| 31.6 | 2.831 | 100 |
| 32.7 | 2.740 | 92 |
| 30.9 | 2.889 | 83 |
| 33.5 | 2.673 | 50 |
| 39.1 | 2.306 | 47 |
| 55.6 | 1.653 | 35 |
| 33.0 | 2.713 | 33 |
| 50.1 | 1.822 | 29 |
| 27.9 | 3.197 | 22 |
| 65.0 | 1.435 | 22 |



(8)
For TlSnPb, a crystal structure in Alexandria, relaxed with PBE gives the computed powder X-ray diffraction pattern in this record (Cu Kα (λ = 1.5418 Å)).
Kinematic intensities with the Lorentz-polarization factor, no thermal factor.

Atomic structure:
```
TlSnPb
1.0
3.3814 -5.4668 0.0000
3.3814 5.4668 0.0000
0.0000 0.0000 9.7913
Tl Sn Pb
4 4 4
Direct
0.1269 0.8731 0.9092 Tl
0.3731 0.6269 0.4092 Tl
0.6269 0.3731 0.5908 Tl
0.8731 0.1269 0.0908 Tl
0.1218 0.8782 0.5773 Sn
0.3782 0.6218 0.0773 Sn
0.6218 0.3782 0.9227 Sn
0.8782 0.1218 0.4227 Sn
0.1286 0.3714 0.7500 Pb
0.3714 0.1286 0.2500 Pb
0.6286 0.8714 0.7500 Pb
0.8714 0.6286 0.2500 Pb
```

Main lines, most intense first (2θ = 5–70°):
| 2θ/deg | d (Å) | intensity |
| --- | --- | --- |
| 31.9 | 2.802 | 100 |
| 32.4 | 2.759 | 96 |
| 32.8 | 2.733 | 47 |
| 32.2 | 2.782 | 46 |
| 46.6 | 1.950 | 33 |
| 64.4 | 1.448 | 28 |
| 57.4 | 1.605 | 20 |
| 45.8 | 1.983 | 20 |
| 58.0 | 1.591 | 19 |
| 58.3 | 1.583 | 19 |